For Ti4Fe2O, a crystal structure in Alexandria, relaxed with PBE+U gives the simulated PXRD pattern in this record (copper Kα).

Principal peaks in the range 2θ from 10° to 90°, in order of rising 2θ:
d = 2.669 Å, 33.6°, rel. 8
d = 2.375 Å, 37.9°, rel. 32
d = 2.239 Å, 40.3°, rel. 100
d = 2.057 Å, 44.0°, rel. 26
d = 1.939 Å, 46.9°, rel. 11
d = 1.754 Å, 52.2°, rel. 9
d = 1.679 Å, 54.7°, rel. 6
d = 1.371 Å, 68.4°, rel. 28
d = 1.169 Å, 82.5°, rel. 18
d = 1.119 Å, 87.0°, rel. 7

Structural model:
Cell lengths 8.226, 8.226, 8.226 Å; angles 60.00, 60.00, 60.00 degrees
Fractional positions:
Ti 0.070 0.070 0.430
Ti 0.070 0.430 0.070
Ti 0.070 0.430 0.430
Ti 0.180 0.180 0.820
Ti 0.180 0.820 0.180
Ti 0.180 0.820 0.820
Ti 0.430 0.070 0.070
Ti 0.430 0.070 0.430
Ti 0.430 0.430 0.070
Ti 0.496 0.835 0.835
Ti 0.820 0.180 0.180
Ti 0.820 0.180 0.820
Ti 0.820 0.820 0.180
Ti 0.835 0.496 0.835
Ti 0.835 0.835 0.496
Ti 0.835 0.835 0.835
Fe 0.129 0.624 0.624
Fe 0.416 0.416 0.416
Fe 0.416 0.416 0.752
Fe 0.416 0.752 0.416
Fe 0.624 0.129 0.624
Fe 0.624 0.624 0.129
Fe 0.624 0.624 0.624
Fe 0.752 0.416 0.416
O 0.125 0.125 0.125
O 0.125 0.125 0.624
O 0.125 0.624 0.125
O 0.624 0.125 0.125